CePmCr2O8: theoretical powder diffraction line list (Cu Ka), based on a PBE+U-relaxed structure.
Peak positions follow from Bragg's law for the DFT cell and can differ from measured ones.

Atomic structure:
```
CePmCr2O8
1.0
-2.571 2.571 5.778
2.571 -2.571 5.778
2.571 2.571 -5.778
Ce Pm Cr O
1 1 2 8
Direct
0.000 0.000 0.000
0.750 0.250 0.500
0.250 0.750 0.500
0.500 0.500 0.000
0.026 0.922 0.604
0.078 0.682 0.104
0.160 0.265 0.579
0.318 0.422 0.396
0.419 0.840 0.105
0.578 0.974 0.896
0.686 0.581 0.421
0.735 0.314 0.895
```

Peak list (6 most intense, 2θ from 10° to 90°, sorted by position)
| 2theta | I_rel |
| --- | --- |
| 18.9 | 22 |
| 29.0 | 100 |
| 34.9 | 17 |
| 47.3 | 28 |
| 53.9 | 16 |
| 59.0 | 28 |